[1]
Simulated PXRD pattern
Compound: PmZnNi4Sn2
Radiation: λ = 1.5418 Å (Cu Kα)
Structure: a crystal structure in Alexandria, relaxed with GGA-PBE

Top 10 peaks for 10 to 80 degrees two-theta, in order of rising 2θ:
Position (°2θ)  I_rel  (hkl)
27.91  310  1 0 4
29.90  207  0 1 5
34.69  104  1 0 7
37.41  882  0 1 8
42.23  1000  1 1 0
46.52  131  0 1 11
57.68  248  2 0 8
61.82  203  1 1 12
74.03  235  1 2 8
77.22  164  3 0 0

Unit cell a=4.2797 b=4.2797 c=25.2638 alpha=90.00 beta=90.00 gamma=120.00
Space group R-3m (No. 166, hexagonal axes)
One atom of each set of equivalent atoms:
Pm (0.0000, 0.0000, 0.0000) (multiplicity 3)
Zn (0.0000, 0.0000, 0.5000) (multiplicity 3)
Ni (0.0000, 0.0000, 0.1351) (multiplicity 6)
Ni (0.0000, 0.0000, 0.4040) (multiplicity 6)
Sn (0.0000, 0.0000, 0.2421) (multiplicity 6)

***

[2]
Simulated PXRD pattern
Compound: La8Nd6Y
Radiation: λ = 1.5418 Å (Cu Kα)
Structure: a crystal structure in Alexandria, relaxed with GGA-PBE

Top 10 peaks for 10 to 80 degrees two-theta, in order of rising 2θ:
Position (°2θ)  I_rel  (hkl)
25.08  241  2 0 1
28.36  594  2 1 0
31.31  947  3 -2 1
32.27  1000  1 1 2
47.59  162  4 -3 2
49.52  218  3 2 1
49.64  102  3 -1 3
51.47  139  0 4 2
60.36  221  6 -2 1
63.69  218  6 -5 1

Unit cell a=9.6253 b=9.6253 c=6.7817 alpha=90.00 beta=90.00 gamma=120.00
Space group P-3 (No. 147)
One atom of each set of equivalent atoms:
La (0.0335, 0.2896, 0.3376) (multiplicity 6)
La (0.3333, 0.6667, 0.3870) (multiplicity 2)
Nd (0.0881, 0.4284, 0.8491) (multiplicity 6)
Y (0.0000, 0.0000, 0.0000) (multiplicity 1)

***

[3]
Simulated PXRD pattern
Compound: Li15TcN6
Radiation: λ = 1.5418 Å (Cu Kα)
Structure: a crystal structure in Alexandria, relaxed with GGA-PBE

Top 10 peaks for 10 to 80 degrees two-theta, in order of rising 2θ:
Position (°2θ)  I_rel  (hkl)
15.37  1000  1 1 0
21.80  223  2 0 0
26.78  111  2 1 1
34.79  246  3 1 0
41.43  121  3 2 1
44.44  124  4 0 0
47.29  144  3 3 0
50.02  80  4 2 0
57.64  151  5 1 0
64.66  69  4 4 0

Unit cell a=8.155 b=8.155 c=8.155 alpha=90.00 beta=90.00 gamma=90.00
Space group Im-3m (No. 229)
One atom of each set of equivalent atoms:
Li (0.000, 0.000, 0.500) (multiplicity 6)
Li (0.000, 0.234, 0.234) (multiplicity 24)
Tc (0.000, 0.000, 0.000) (multiplicity 2)
N (0.000, 0.000, 0.263) (multiplicity 12)

***

[4]
Simulated PXRD pattern
Compound: ZrTa5C5
Radiation: λ = 1.5418 Å (Cu Kα)
Structure: a crystal structure in Alexandria, relaxed with GGA-PBE

Top 10 peaks for 10 to 80 degrees two-theta, in order of rising 2θ:
Position (°2θ)  I_rel  (hkl)
34.55  1000  1 1 -2
39.72  212  0 2 0
40.29  404  2 0 2
57.86  278  2 2 2
58.35  68  2 0 -4
68.78  141  1 3 -2
69.54  203  5 1 -4
69.62  68  1 1 4
72.81  69  6 2 0
72.91  70  2 2 -4

Unit cell a=10.021 b=4.538 c=6.326 alpha=90.00 beta=108.44 gamma=90.00
Space group C2/m (No. 12)
One atom of each set of equivalent atoms:
Zr (0.000, 0.000, 0.000) (multiplicity 2)
Ta (0.000, 0.000, 0.500) (multiplicity 2)
Ta (0.170, 0.500, 0.838) (multiplicity 4)
Ta (0.172, 0.500, 0.332) (multiplicity 4)
C (0.000, 0.500, 0.000) (multiplicity 2)
C (0.169, 0.000, 0.341) (multiplicity 4)
C (0.172, 0.000, 0.831) (multiplicity 4)

***

[5]
Simulated PXRD pattern
Compound: PuGaGe
Radiation: λ = 1.5418 Å (Cu Kα)
Structure: a crystal structure in Alexandria, relaxed with GGA-PBE

Top 10 peaks for 10 to 80 degrees two-theta, in order of rising 2θ:
Position (°2θ)  I_rel  (hkl)
22.50  389  1 0 0
34.84  1000  1 0 1
39.50  549  1 1 0
45.93  64  2 0 0
53.67  297  0 2 1
54.04  74  0 0 2
59.26  62  0 1 2
68.65  286  2 1 1
68.97  214  1 1 2
71.64  96  3 0 0

Unit cell a=4.5633 b=4.5633 c=3.3939 alpha=90.00 beta=90.00 gamma=120.00
Space group P3m1 (No. 156)
One atom of each set of equivalent atoms:
Pu (0.0000, 0.0000, 0.0000) (multiplicity 1)
Ga (0.3333, 0.6667, 0.5023) (multiplicity 1)
Ge (0.6667, 0.3333, 0.4984) (multiplicity 1)

***

[6]
Simulated PXRD pattern
Compound: CaDy2ScBi4
Radiation: λ = 1.5418 Å (Cu Kα)
Structure: a crystal structure in Alexandria, relaxed with GGA-PBE

Top 10 peaks for 10 to 80 degrees two-theta, in order of rising 2θ:
Position (°2θ)  I_rel  (hkl)
14.05  57  0 0 2
19.91  55  2 0 0
24.45  210  2 0 2
28.30  1000  2 2 0
40.46  773  4 0 0
47.84  112  4 2 2
50.11  278  4 0 4
58.55  130  4 4 0
66.28  359  6 2 0
73.58  265  6 2 4

Unit cell a=8.916 b=8.924 c=12.607 alpha=90.00 beta=90.00 gamma=90.00
Space group Fmmm (No. 69)
One atom of each set of equivalent atoms:
Ca (0.000, 0.000, 0.000) (multiplicity 4)
Dy (0.250, 0.250, 0.250) (multiplicity 8)
Sc (0.000, 0.000, 0.500) (multiplicity 4)
Bi (0.000, 0.000, 0.260) (multiplicity 8)
Bi (0.250, 0.250, 0.000) (multiplicity 8)